[1]
MnV3S4: theoretical powder diffraction line list (Cu Kα (weighted mean of Kα1 and Kα2)), based on DFT lattice parameters and positions (PBE).
Neutral-atom scattering factors, no anomalous dispersion.

Crystal structure
a b c (Å): 9.3906 4.7143 5.7572
angles (deg): 90.00 90.00 90.00
Space group Pmn2_1 (No. 31)
Asymmetric unit:
1 Mn 0.0000 0.2437 0.0000
2 V 0.0000 0.7008 0.2967
3 V 0.2480 0.3269 0.4741
4 S 0.0000 0.2209 0.4162
5 S 0.0000 0.7351 0.8850
6 S 0.2445 0.8058 0.3677

Main lines, low angle first (2θ = 10–90°):
2theta, intensity, h k l
18.07, 37, 1 0 1
31.06, 100, 0 0 2
37.85, 43, 1 1 2
38.18, 57, 0 2 0
38.34, 90, 4 0 0
41.43, 23, 0 2 1
45.87, 36, 2 2 1
50.14, 33, 4 0 2
55.24, 69, 4 2 0
64.74, 21, 4 2 2

=====

[2]
Mn3VS6: theoretical powder diffraction line list (Cu Kα (weighted mean of Kα1 and Kα2)), based on DFT lattice parameters and positions (PBE).
Neutral-atom scattering factors, no anomalous dispersion.

Crystal structure
a b c (Å): 6.0249 6.3595 10.5318
angles (deg): 90.00 121.26 90.00
Space group P2_1/c (No. 14)
Asymmetric unit:
1 Mn 0.0000 0.0000 0.0000
2 Mn 0.1454 0.1216 0.6607
3 V 0.5000 0.0000 0.5000
4 S 0.1047 0.0520 0.2534
5 S 0.2393 0.6827 0.0721
6 S 0.3924 0.1906 0.0851

Main lines, low angle first (2θ = 10–90°):
2theta, intensity, h k l
17.22, 45, 1 0 0
24.22, 36, 0 1 2
29.12, 40, 1 1 -3
32.51, 100, 1 0 2
32.97, 64, 2 1 -2
38.24, 51, 1 2 -3
41.33, 35, 2 2 -2
44.44, 52, 1 1 3
45.35, 91, 1 3 -1
53.15, 35, 3 1 -5

=====

[3]
MnV4S8: theoretical powder diffraction line list (Cu Kα (weighted mean of Kα1 and Kα2)), based on DFT lattice parameters and positions (PBE).
Neutral-atom scattering factors, no anomalous dispersion.

Crystal structure
a b c (Å): 9.8018 9.8018 9.8018
angles (deg): 90.00 90.00 90.00
Space group F-43m (No. 216)
Asymmetric unit:
1 Mn 0.0000 0.0000 0.0000
2 V 0.1099 0.1099 0.3901
3 S 0.1265 0.1265 0.6265
4 S 0.1369 0.1369 0.1369

Main lines, low angle first (2θ = 10–90°):
2theta, intensity, h k l
15.66, 49, 1 1 1
18.10, 21, 2 0 0
30.24, 79, 3 1 1
36.67, 100, 4 0 0
40.10, 16, 3 3 1
45.33, 21, 4 2 2
48.24, 50, 5 1 1
52.84, 96, 4 4 0
66.04, 17, 4 4 4
89.41, 18, 8 4 0

=====

[4]
MnV4S8: theoretical powder diffraction line list (Cu Kα (weighted mean of Kα1 and Kα2)), based on DFT lattice parameters and positions (PBE).
Neutral-atom scattering factors, no anomalous dispersion.

Crystal structure
a b c (Å): 11.3027 6.6642 7.8978
angles (deg): 90.00 134.04 90.00
Space group C2/m (No. 12)
Asymmetric unit:
1 Mn 0.0000 0.0000 0.0000
2 V 0.0000 0.2937 0.5000
3 V 0.2298 0.5000 0.9637
4 S 0.0186 0.0000 0.3238
5 S 0.0543 0.5000 0.3297
6 S 0.2128 0.2527 0.1770

Main lines, low angle first (2θ = 10–90°):
2theta, intensity, h k l
15.68, 77, 2 0 -1
17.41, 30, 1 1 -1
34.97, 46, 2 0 1
35.24, 100, 2 2 -2
44.64, 76, 4 0 0
45.34, 47, 4 2 -3
45.97, 27, 4 0 -4
55.13, 20, 0 4 0
55.87, 41, 0 2 3
58.19, 18, 6 2 -2

=====

[5]
MnZn4S5: theoretical powder diffraction line list (Cu Kα (weighted mean of Kα1 and Kα2)), based on DFT lattice parameters and positions (PBE).
Neutral-atom scattering factors, no anomalous dispersion.

Crystal structure
a b c (Å): 3.8687 3.8687 31.7630
angles (deg): 90.00 90.00 120.00
Space group P3m1 (No. 156)
Asymmetric unit:
1 Mn 0.0000 0.0000 0.0000
2 Mn 0.0000 0.0000 0.2030
3 Zn 0.0000 0.0000 0.4044
4 Zn 0.0000 0.0000 0.6023
5 Zn 0.0000 0.0000 0.8003
6 Zn 0.6667 0.3333 0.1022
7 Zn 0.6667 0.3333 0.3055
8 Zn 0.6667 0.3333 0.5034
9 Zn 0.6667 0.3333 0.7013
10 Zn 0.6667 0.3333 0.8992
11 S 0.0000 0.0000 0.1272
12 S 0.0000 0.0000 0.3300
13 S 0.0000 0.0000 0.5280
14 S 0.0000 0.0000 0.7260
15 S 0.0000 0.0000 0.9242
16 S 0.6667 0.3333 0.0281
17 S 0.6667 0.3333 0.2313
18 S 0.6667 0.3333 0.4290
19 S 0.6667 0.3333 0.6270
20 S 0.6667 0.3333 0.8249

Main lines, low angle first (2θ = 10–90°):
2theta, intensity, h k l
26.61, 94, 1 0 0
28.09, 58, 0 0 10
30.16, 100, 0 1 5
39.08, 35, 0 1 10
46.97, 73, 1 1 0
51.02, 72, 0 1 15
55.63, 47, 1 1 10
56.84, 16, 2 0 5
71.86, 24, 2 0 15
80.92, 16, 0 1 25

=====

[6]
MnZn3S4: theoretical powder diffraction line list (Cu Kα (weighted mean of Kα1 and Kα2)), based on DFT lattice parameters and positions (PBE).
Neutral-atom scattering factors, no anomalous dispersion.

Crystal structure
a b c (Å): 3.8754 3.8754 12.7242
angles (deg): 90.00 90.00 120.00
Space group P3m1 (No. 156)
Asymmetric unit:
1 Mn 0.0000 0.0000 0.0000
2 Zn 0.0000 0.0000 0.5019
3 Zn 0.3333 0.6667 0.2553
4 Zn 0.3333 0.6667 0.7486
5 S 0.0000 0.0000 0.3163
6 S 0.0000 0.0000 0.8107
7 S 0.3333 0.6667 0.0700
8 S 0.3333 0.6667 0.5631

Main lines, low angle first (2θ = 10–90°):
2theta, intensity, h k l
26.56, 95, 1 0 0
28.05, 59, 0 0 4
30.11, 100, 1 0 2
39.01, 35, 1 0 4
46.89, 73, 1 1 0
50.94, 74, 1 0 6
55.53, 47, 1 1 4
56.73, 16, 0 2 2
71.72, 25, 0 2 6
80.77, 17, 1 0 10

=====

[7]
Mn4ZnS8: theoretical powder diffraction line list (Cu Kα (weighted mean of Kα1 and Kα2)), based on DFT lattice parameters and positions (PBE).
Neutral-atom scattering factors, no anomalous dispersion.

Crystal structure
a b c (Å): 9.7515 9.7515 9.7515
angles (deg): 90.00 90.00 90.00
Space group F-43m (No. 216)
Asymmetric unit:
1 Mn 0.1197 0.1197 0.1197
2 Zn 0.0000 0.0000 0.5000
3 S 0.1163 0.1163 0.8837
4 S 0.1365 0.1365 0.3635

Main lines, low angle first (2θ = 10–90°):
2theta, intensity, h k l
15.74, 63, 1 1 1
18.19, 22, 2 0 0
25.84, 17, 2 2 0
30.40, 97, 3 1 1
36.87, 89, 4 0 0
48.51, 54, 5 1 1
53.13, 100, 4 4 0
66.42, 16, 4 4 4
74.78, 16, 5 5 3
90.00, 20, 8 4 0

=====

[8]
Mn2ZnS5: theoretical powder diffraction line list (Cu Kα (weighted mean of Kα1 and Kα2)), based on DFT lattice parameters and positions (PBE).
Neutral-atom scattering factors, no anomalous dispersion.

Crystal structure
a b c (Å): 3.6285 13.9179 6.6347
angles (deg): 90.00 90.00 90.00
Space group Pmmn (No. 59, origin choice 2)
Asymmetric unit:
1 Mn 0.2500 0.1014 0.0414
2 Zn 0.2500 0.7500 0.6411
3 S 0.2500 0.1374 0.3699
4 S 0.2500 0.2500 0.9046
5 S 0.2500 0.5595 0.1542

Main lines, low angle first (2θ = 10–90°):
2theta, intensity, h k l
13.35, 100, 0 0 1
14.79, 100, 0 1 1
18.48, 87, 0 2 1
27.64, 93, 0 1 2
28.77, 64, 1 1 1
30.89, 90, 1 2 1
38.32, 72, 1 4 1
40.85, 54, 1 5 0
52.30, 78, 1 3 3
54.44, 70, 1 7 1

=====

Please write out number 7 again, unchanged.
Mn4ZnS8: theoretical powder diffraction line list (Cu Kα (weighted mean of Kα1 and Kα2)), based on DFT lattice parameters and positions (PBE).
Neutral-atom scattering factors, no anomalous dispersion.

Crystal structure
a b c (Å): 9.7515 9.7515 9.7515
angles (deg): 90.00 90.00 90.00
Space group F-43m (No. 216)
Asymmetric unit:
1 Mn 0.1197 0.1197 0.1197
2 Zn 0.0000 0.0000 0.5000
3 S 0.1163 0.1163 0.8837
4 S 0.1365 0.1365 0.3635

Main lines, low angle first (2θ = 10–90°):
2theta, intensity, h k l
15.74, 63, 1 1 1
18.19, 22, 2 0 0
25.84, 17, 2 2 0
30.40, 97, 3 1 1
36.87, 89, 4 0 0
48.51, 54, 5 1 1
53.13, 100, 4 4 0
66.42, 16, 4 4 4
74.78, 16, 5 5 3
90.00, 20, 8 4 0